Structure and computed X-ray powder pattern of Th3MgIn2 (a PBE-relaxed structure; CuKα).
Peak positions follow from Bragg's law for the DFT cell and can differ from measured ones.

Principal peaks in the range 2θ from 5° to 70°, by intensity:
2theta  I_rel
38.92  100.0
28.86  77.5
29.55  73.4
29.10  72.6
35.07  63.6
34.69  60.9
51.43  58.5
32.28  56.4
14.43  52.2
37.82  33.9
58.99  31.3
27.49  29.1

Crystal structure
Cell: 9.520 9.520 9.520 Å, 139.42 58.19 140.14°
Fractional positions:
Th 0.175 0.227 0.401
Th 0.250 0.250 0.000
Th 0.325 0.727 0.052
Th 0.675 0.273 0.948
Th 0.750 0.750 0.000
Th 0.825 0.773 0.599
Mg 0.250 0.750 0.500
Mg 0.750 0.250 0.500
In 0.132 0.720 0.852
In 0.368 0.220 0.587
In 0.632 0.780 0.413
In 0.868 0.280 0.148